Calculated X-ray powder pattern of PaMoO6 for Cu Kα X-rays, from a PBE+U-relaxed structure.

Largest 10 diffraction maxima, most intense first, 2θ = 10–90°:
Position (°2θ)	intensity
21.69	100
30.86	54
49.75	42
54.88	22
44.20	21
68.71	20
18.75	18
36.35	14
89.47	13
38.03	13

Structural model:
```
PaMoO6
1.0
0.000 4.098 4.098
4.098 0.000 4.098
4.098 4.098 0.000
Pa Mo O
1 1 6
Cartesian
0.000 0.000 0.000
4.098 4.098 4.098
4.098 4.098 2.170
4.098 2.170 4.098
6.027 4.098 4.098
2.170 4.098 4.098
4.098 6.027 4.098
4.098 4.098 6.027
```